No. 1
Starting from a structure optimized by DFT (GGA-PBE), the powder diffractogram of BaLaBr5 was simulated for Cu Kα (λ = 1.5418 Å).

Peak list (6 most intense, 10° ≤ 2θ ≤ 90°, in order of rising 2θ)
two_theta	d/Å	I_rel
12.8	6.933	1000
25.5	3.491	679
32.1	2.793	823
32.6	2.745	906
38.8	2.322	521
40.1	2.248	680

Structural model:
Cell: 8.209 4.497 14.275 Å, 90.00 93.31 90.00°
Positions (direct):
Ba 0.045 0.250 0.346
Ba 0.955 0.750 0.654
La 0.455 0.750 0.156
La 0.545 0.250 0.844
Br 0.187 0.250 0.117
Br 0.199 0.250 0.748
Br 0.200 0.750 0.481
Br 0.356 0.750 0.938
Br 0.457 0.250 0.307
Br 0.543 0.750 0.693
Br 0.644 0.250 0.062
Br 0.800 0.250 0.519
Br 0.801 0.750 0.252
Br 0.813 0.750 0.883

No. 2
Starting from a structure optimized by DFT (GGA-PBE), the powder diffractogram of CeHgAu2 was simulated for Cu Kα (λ = 1.5418 Å).

Peak list (6 most intense, 10° ≤ 2θ ≤ 90°, in order of rising 2θ)
two_theta	d/Å	I_rel
21.1	4.210	14
34.8	2.578	1000
50.0	1.823	181
62.4	1.489	376
73.5	1.289	118
83.9	1.153	170

Structural model:
Cell: 5.157 5.157 5.157 Å, 60.00 60.00 60.00°
Positions (direct):
Ce 0.000 0.000 0.000
Hg 0.500 0.500 0.500
Au 0.250 0.250 0.250
Au 0.750 0.750 0.750

No. 3
Starting from a structure optimized by DFT (GGA-PBE), the powder diffractogram of DyCdPd2 was simulated for Cu Kα (λ = 1.5418 Å).

Peak list (6 most intense, 10° ≤ 2θ ≤ 90°, in order of rising 2θ)
two_theta	d/Å	I_rel
22.7	3.921	20
26.2	3.396	17
37.5	2.401	1000
54.0	1.698	171
67.6	1.386	344
79.9	1.201	107

Structural model:
Cell: 4.802 4.802 4.802 Å, 60.00 60.00 60.00°
Positions (direct):
Dy 0.000 0.000 0.000
Cd 0.500 0.500 0.500
Pd 0.250 0.250 0.250
Pd 0.750 0.750 0.750

No. 4
Starting from a structure optimized by DFT (GGA-PBE), the powder diffractogram of Sc5In4Ni2 was simulated for Cu Kα (λ = 1.5418 Å).

Peak list (6 most intense, 10° ≤ 2θ ≤ 90°, in order of rising 2θ)
two_theta	d/Å	I_rel
24.7	3.609	435
33.3	2.689	1000
34.8	2.576	815
35.0	2.566	535
35.5	2.531	429
36.5	2.459	839

Structural model:
Cell: 8.006 18.671 3.609 Å, 90.00 90.00 90.00°
Positions (direct):
Sc 0.000 0.000 0.000
Sc 0.113 0.405 0.000
Sc 0.240 0.723 0.000
Sc 0.260 0.223 0.000
Sc 0.387 0.905 0.000
Sc 0.500 0.500 0.000
Sc 0.613 0.095 0.000
Sc 0.740 0.777 0.000
Sc 0.760 0.277 0.000
Sc 0.887 0.595 0.000
In 0.072 0.844 0.500
In 0.196 0.569 0.500
In 0.304 0.069 0.500
In 0.428 0.344 0.500
In 0.572 0.656 0.500
In 0.696 0.931 0.500
In 0.804 0.431 0.500
In 0.928 0.156 0.500
Ni 0.034 0.306 0.500
Ni 0.466 0.806 0.500
Ni 0.534 0.194 0.500
Ni 0.966 0.694 0.500